Calculated X-ray diffraction stick pattern of CuHg2 for Cu Kα, 1.54184 Å, from the PBE geometry in Alexandria.
No peak broadening, texture or thermal motion is included.

Main lines, by angle (2θ from 10° to 80°):
- d 4.015, 2θ = 22.14°, rel. 30, (1 0 2)
- d 3.320, 2θ = 26.85°, rel. 28, (1 0 4)
- d 2.753, 2θ = 32.53°, rel. 22, (0 1 3)
- d 2.687, 2θ = 33.34°, rel. 39, (1 0 6)
- d 2.558, 2θ = 35.09°, rel. 19, (0 0 8)
- d 2.424, 2θ = 37.09°, rel. 29, (0 1 5)
- d 2.328, 2θ = 38.67°, rel. 100, (1 1 3)
- d 2.207, 2θ = 40.90°, rel. 19, (1 0 8)
- d 2.182, 2θ = 41.37°, rel. 32, (2 0 0)
- d 1.487, 2θ = 62.44°, rel. 23, (1 1 11)

Structural model:
abc: 4.3649 3.0085 20.4612
angles: 90.00 90.00 90.00
Space group Amm2 (No. 38)
Symmetry-distinct sites (fractional):
1 Cu 0.0000 0.0000 0.0000 x2
2 Cu 0.0000 0.0000 0.3968 x2
3 Hg 0.0000 0.0000 0.6160 x2
4 Hg 0.5000 0.0000 0.2063 x2
5 Hg 0.5000 0.0000 0.4895 x2
6 Hg 0.5000 0.0000 0.8402 x2